Structure and theoretical PXRD pattern of KTl6Pb4 (a structure optimized by DFT (PBE); Cu Kα).
Kinematic intensities with the Lorentz-polarization factor, no thermal factor.

Cell and atoms:
a = 9.2405 Å, b = 9.2405 Å, c = 5.2352 Å
α = 90.00°, β = 90.00°, γ = 120.00°
Space group P-6m2 (No. 187)
Asymmetric unit:
K1 0.0000 0.0000 0.0000 x1
Tl1 0.0654 0.5327 0.0000 x3
Tl2 0.4027 0.2013 0.5000 x3
Pb1 0.2112 0.4224 0.5000 x3
Pb2 0.6667 0.3333 0.0000 x1

Largest 10 diffraction maxima, most intense first, 2θ = 5–70°:
34.24°, d 2.619, I = 100, (0 0 2); 28.07°, d 3.179, I = 58, (2 0 1); 11.06°, d 8.002, I = 39, (1 0 0); 29.53°, d 3.025, I = 24, (2 1 0); 60.49°, d 1.531, I = 20, (5 0 1); 37.85°, d 2.377, I = 15, (3 0 1); 45.85°, d 1.979, I = 15, (2 1 2); 61.33°, d 1.512, I = 15, (2 1 3); 52.86°, d 1.732, I = 14, (2 2 2); 38.99°, d 2.310, I = 14, (2 2 0)

=====

Structure and theoretical PXRD pattern of NdSm2Dy2Th2 (a structure optimized by DFT (PBE); Cu Kα).
Kinematic intensities with the Lorentz-polarization factor, no thermal factor.

Cell and atoms:
a = 17.2986 Å, b = 3.5327 Å, c = 8.8749 Å
α = 90.00°, β = 119.86°, γ = 90.00°
Space group C2/m (No. 12)
Asymmetric unit:
Nd1 0.0000 0.0000 0.0000 x2
Sm1 0.1460 0.5000 0.8445 x4
Dy1 0.2058 0.5000 0.2982 x4
Th1 0.0685 0.0000 0.4352 x4

Largest 10 diffraction maxima, most intense first, 2θ = 5–70°:
30.95°, d 2.889, I = 100, (2 0 2); 31.65°, d 2.827, I = 32, (6 0 -1); 32.89°, d 2.723, I = 29, (1 1 -2); 61.52°, d 1.507, I = 20, (2 2 2); 29.78°, d 3.000, I = 19, (3 1 -1); 47.11°, d 1.929, I = 14, (7 1 -3); 55.92°, d 1.644, I = 12, (8 0 1); 51.75°, d 1.767, I = 11, (0 2 0); 61.94°, d 1.498, I = 10, (6 2 -1); 11.50°, d 7.697, I = 9, (0 0 1)